Theoretical powder XRD pattern of LiHfAgTe3 for a wavelength of 1.5418 Å, from a DFT-relaxed cell (GGA-PBE, OQMD).

Principal peaks in the range 10 to 80 degrees two-theta, in order of rising 2θ:
Position (°2θ)  intensity
12.4  71
24.3  20
27.4  22
29.0  21
30.2  26
32.7  29
33.4  100
35.1  17
42.1  34
45.0  20

Crystal structure
Unit cell a=7.4267 b=7.4267 c=10.9691 alpha=90.00 beta=90.00 gamma=148.51
Element x y z (fractional)
Li: 0.2039 0.7961 0.7500
Li: 0.7961 0.2039 0.2500
Hf: 0.0000 0.0000 0.0000
Hf: 0.0000 0.0000 0.5000
Ag: 0.4669 0.5331 0.2500
Ag: 0.5331 0.4669 0.7500
Te: 0.0989 0.9011 0.2500
Te: 0.3568 0.6432 0.0466
Te: 0.3568 0.6432 0.4534
Te: 0.6432 0.3568 0.5466
Te: 0.6432 0.3568 0.9534
Te: 0.9011 0.0989 0.7500